No. 1
This entry pairs a crystal structure of Mg4Fe3 with its calculated PXRD pattern. Radiation: Cu Kα (weighted mean of Kα1 and Kα2). Structure: DFT lattice parameters and positions (GGA-PBE).

Principal peaks in the range 10° ≤ 2θ ≤ 90°, in order of rising 2θ:
- 13.18°, I 1000, (1 0 0)
- 35.31°, I 130, (1 0 -3)
- 40.43°, I 237, (0 2 0)
- 40.86°, I 535, (1 1 -3)
- 40.97°, I 279, (3 1 -2)
- 42.71°, I 100, (1 2 0)
- 53.23°, I 82, (1 1 -4)
- 73.83°, I 84, (1 3 -3)

Atomic structure:
```
data_Mg4Fe3
_space_group_name_H-M_alt 'P 1 m 1'
_space_group_IT_number 6
_cell_length_a 7.7411
_cell_length_b 4.4616
_cell_length_c 7.7516
_cell_angle_alpha 90.00
_cell_angle_beta 119.76
_cell_angle_gamma 90.00
loop_
_space_group_symop_operation_xyz
'x,y,z'
'x,-y,z'
loop_
_atom_site_label
_atom_site_type_symbol
_atom_site_fract_x
_atom_site_fract_y
_atom_site_fract_z
Mg1 Mg 0.0000 0.0000 0.0000
Mg2 Mg 0.0139 0.5000 0.2483
Mg3 Mg 0.2606 0.0000 0.4799
Mg4 Mg 0.4340 0.5000 0.3485
Mg5 Mg 0.6794 0.0000 0.5819
Mg6 Mg 0.6974 0.5000 0.8300
Mg7 Mg 0.7803 0.0000 0.2629
Mg8 Mg 0.9161 0.5000 0.5698
Fe1 Fe 0.1559 0.0000 0.7602
Fe2 Fe 0.1931 0.5000 0.9541
Fe3 Fe 0.3108 0.5000 0.7187
Fe4 Fe 0.3860 0.0000 0.1107
Fe5 Fe 0.5051 0.0000 0.8765
Fe6 Fe 0.5415 0.5000 0.0703
```

No. 2
This entry pairs a crystal structure of RbIrNO with its calculated PXRD pattern. Radiation: Cu Kα (weighted mean of Kα1 and Kα2). Structure: DFT lattice parameters and positions (GGA-PBE).

Principal peaks in the range 10° ≤ 2θ ≤ 90°, in order of rising 2θ:
- 14.51°, I 518, (0 1 0)
- 27.20°, I 704, (0 0 2)
- 27.31°, I 655, (1 1 0)
- 30.58°, I 1000, (1 1 1)
- 32.35°, I 852, (0 2 1)
- 38.92°, I 373, (1 1 2)
- 50.23°, I 249, (1 1 3)
- 58.23°, I 349, (2 2 1)

Atomic structure:
```
data_RbIrNO
_space_group_name_H-M_alt 'P m c 21'
_space_group_IT_number 26
_cell_length_a 3.8653
_cell_length_b 6.1061
_cell_length_c 6.5569
_cell_angle_alpha 90.00
_cell_angle_beta 90.00
_cell_angle_gamma 90.00
loop_
_space_group_symop_operation_xyz
'x,y,z'
'-x,-y,z+1/2'
'-x,y,z'
'x,-y,z+1/2'
loop_
_atom_site_label
_atom_site_type_symbol
_atom_site_fract_x
_atom_site_fract_y
_atom_site_fract_z
Rb1 Rb 0.0000 0.1709 0.0000
Ir1 Ir 0.5000 0.3781 0.5284
N1 N 0.5000 0.4512 0.2572
O1 O 0.0000 0.2823 0.5486
```

No. 3
This entry pairs a crystal structure of PrNdInNi2 with its calculated PXRD pattern. Radiation: Cu Kα (weighted mean of Kα1 and Kα2). Structure: DFT lattice parameters and positions (GGA-PBE).

Principal peaks in the range 10° ≤ 2θ ≤ 90°, in order of rising 2θ:
- 28.87°, I 378, (0 1 3)
- 33.05°, I 1000, (1 1 1)
- 34.17°, I 719, (1 0 4)
- 37.52°, I 312, (1 1 3)
- 38.22°, I 381, (0 1 5)
- 45.13°, I 249, (0 2 0)
- 47.95°, I 208, (2 0 0)
- 57.80°, I 311, (1 2 4)

Atomic structure:
```
data_PrNdInNi2
_space_group_name_H-M_alt 'A m m 2'
_space_group_IT_number 38
_cell_length_a 3.7948
_cell_length_b 4.0183
_cell_length_c 14.5291
_cell_angle_alpha 90.00
_cell_angle_beta 90.00
_cell_angle_gamma 90.00
loop_
_space_group_symop_operation_xyz
'x,y,z'
'-x,-y,z'
'-x,y,z'
'x,-y,z'
'x,y+1/2,z+1/2'
'-x,-y+1/2,z+1/2'
'-x,y+1/2,z+1/2'
'x,-y+1/2,z+1/2'
loop_
_atom_site_label
_atom_site_type_symbol
_atom_site_fract_x
_atom_site_fract_y
_atom_site_fract_z
Pr1 Pr 0.0000 0.0000 0.0000
Nd1 Nd 0.0000 0.0000 0.2725
In1 In 0.5000 0.0000 0.6370
Ni1 Ni 0.5000 0.0000 0.4353
Ni2 Ni 0.5000 0.0000 0.8356
```

No. 4
This entry pairs a crystal structure of In3Mo4W2N3 with its calculated PXRD pattern. Radiation: Cu Kα (weighted mean of Kα1 and Kα2). Structure: DFT lattice parameters and positions (GGA-PBE).

Principal peaks in the range 10° ≤ 2θ ≤ 90°, in order of rising 2θ:
- 31.66°, I 478, (3 1 -1)
- 33.37°, I 189, (0 2 0)
- 37.51°, I 984, (3 1 2)
- 37.71°, I 1000, (3 1 -4)
- 39.09°, I 927, (0 2 3)
- 40.19°, I 518, (0 0 6)
- 55.27°, I 229, (6 0 -2)
- 58.57°, I 387, (3 3 -1)

Atomic structure:
```
data_In3Mo4W2N3
_space_group_name_H-M_alt 'C 1 2/c 1'
_space_group_IT_number 15
_cell_length_a 9.9716
_cell_length_b 5.3701
_cell_length_c 13.8467
_cell_angle_alpha 90.00
_cell_angle_beta 103.51
_cell_angle_gamma 90.00
loop_
_space_group_symop_operation_xyz
'x,y,z'
'-x,-y,-z'
'-x,y,-z+1/2'
'x,-y,z+1/2'
'x+1/2,y+1/2,z'
'-x+1/2,-y+1/2,-z'
'-x+1/2,y+1/2,-z+1/2'
'x+1/2,-y+1/2,z+1/2'
loop_
_atom_site_label
_atom_site_type_symbol
_atom_site_fract_x
_atom_site_fract_y
_atom_site_fract_z
In1 In 0.0000 0.0796 0.2500
In2 In 0.1642 0.4266 0.7477
Mo1 Mo 0.1081 0.0733 0.5780
Mo2 Mo 0.2124 0.0962 0.9204
W1 W 0.0674 0.4060 0.4263
N1 N 0.0892 0.2686 0.0134
N2 N 0.2500 0.2500 0.5000
```

No. 5
This entry pairs a crystal structure of Lu4Fe3W2N3 with its calculated PXRD pattern. Radiation: Cu Kα (weighted mean of Kα1 and Kα2). Structure: DFT lattice parameters and positions (GGA-PBE).

Principal peaks in the range 10° ≤ 2θ ≤ 90°, in order of rising 2θ:
- 28.34°, I 709, (2 0 -4)
- 31.47°, I 604, (0 2 0)
- 33.86°, I 305, (3 1 -1)
- 35.97°, I 349, (3 1 -3)
- 36.23°, I 1000, (3 1 1)
- 36.64°, I 315, (0 2 3)
- 38.03°, I 723, (1 1 5)
- 42.85°, I 618, (2 2 -4)

Atomic structure:
```
data_Lu4Fe3W2N3
_space_group_name_H-M_alt 'C 1 2/c 1'
_space_group_IT_number 15
_cell_length_a 8.9761
_cell_length_b 5.6860
_cell_length_c 14.8974
_cell_angle_alpha 90.00
_cell_angle_beta 102.31
_cell_angle_gamma 90.00
loop_
_space_group_symop_operation_xyz
'x,y,z'
'-x,-y,-z'
'-x,y,-z+1/2'
'x,-y,z+1/2'
'x+1/2,y+1/2,z'
'-x+1/2,-y+1/2,-z'
'-x+1/2,y+1/2,-z+1/2'
'x+1/2,-y+1/2,z+1/2'
loop_
_atom_site_label
_atom_site_type_symbol
_atom_site_fract_x
_atom_site_fract_y
_atom_site_fract_z
Lu1 Lu 0.0846 0.1991 0.0744
Lu2 Lu 0.2075 0.3028 0.5948
Fe1 Fe 0.0000 0.3009 0.2500
Fe2 Fe 0.2488 0.0299 0.7474
W1 W 0.0893 0.2292 0.8270
N1 N 0.0000 0.5000 0.0000
N2 N 0.1219 0.0190 0.9471
```

No. 6
This entry pairs a crystal structure of Dy3Mg3Al2Cd with its calculated PXRD pattern. Radiation: Cu Kα (weighted mean of Kα1 and Kα2). Structure: DFT lattice parameters and positions (GGA-PBE).

Principal peaks in the range 10° ≤ 2θ ≤ 90°, in order of rising 2θ:
- 19.73°, I 492, (0 0 1)
- 23.90°, I 204, (1 1 0)
- 27.66°, I 556, (2 0 0)
- 31.18°, I 493, (1 1 1)
- 34.21°, I 1000, (2 0 1)
- 36.87°, I 203, (2 1 0)
- 49.39°, I 227, (2 0 2)
- 55.26°, I 286, (3 1 1)

Atomic structure:
```
data_Dy3Mg3Al2Cd
_space_group_name_H-M_alt 'P -6 2 m'
_space_group_IT_number 189
_space_group_name_Hall 'P -6 -2'
_cell_length_a 7.4476
_cell_length_b 7.4476
_cell_length_c 4.5003
_cell_angle_alpha 90.00
_cell_angle_beta 90.00
_cell_angle_gamma 120.00
loop_
_atom_site_label
_atom_site_type_symbol
_atom_site_fract_x
_atom_site_fract_y
_atom_site_fract_z
Dy1 Dy 0.0000 0.5707 0.0000
Mg1 Mg 0.0000 0.2465 0.5000
Al1 Al 0.3333 0.6667 0.5000
Cd1 Cd 0.0000 0.0000 0.0000
```